Diffraction record for LaSnSb3. The powder XRD pattern is simulated, not measured: it uses the PBE geometry in Alexandria and CuKα.
Neutral-atom scattering factors, no anomalous dispersion.

```
LaSnSb3
1.0
14.6475 0.0000 0.0000
0.0000 6.2569 0.0000
0.0000 0.0000 6.5048
La Sn Sb
4 4 12
Cartesian
2.5199 0.0084 1.6262
2.5199 3.1201 4.8786
12.1276 3.1368 1.6262
12.1276 6.2485 4.8786
5.7094 1.5642 0.0000
5.7094 1.5642 3.2524
8.9381 4.6927 0.0000
8.9381 4.6927 3.2524
0.0050 1.5642 0.0000
0.0050 1.5642 3.2524
14.6425 4.6927 0.0000
14.6425 4.6927 3.2524
3.4031 3.1622 1.6262
3.4031 6.2232 4.8786
5.8750 4.4696 4.8786
5.8750 4.9158 1.6262
8.7725 1.3411 4.8786
8.7725 1.7873 1.6262
11.2444 0.0337 1.6262
11.2444 3.0947 4.8786
```

Largest 6 diffraction maxima, by angle, 2θ from 10° to 90°:
Position (°2θ), intensity
30.06, 70
30.51, 98
31.09, 100
33.09, 63
33.37, 64
34.04, 86